Entry 1:
Theoretical powder XRD pattern
Compound: La7Tb4Dy
Radiation: Cu Kα X-rays
Structure: DFT lattice parameters and positions (GGA-PBE)
Kinematic intensities with the Lorentz-polarization factor, no thermal factor.

Structure:
```
data_La7Tb4Dy
_space_group_name_H-M_alt 'P -1'
_space_group_IT_number 2
_cell_length_a 6.4238
_cell_length_b 7.3799
_cell_length_c 9.1071
_cell_angle_alpha 90.10
_cell_angle_beta 103.52
_cell_angle_gamma 90.03
loop_
_space_group_symop_operation_xyz
'x,y,z'
'-x,-y,-z'
loop_
_atom_site_label
_atom_site_type_symbol
_atom_site_fract_x
_atom_site_fract_y
_atom_site_fract_z
La1 La 0.0000 0.0000 0.0000
La2 La 0.2213 0.4995 0.6664
La3 La 0.2798 0.7508 0.3335
La4 La 0.4999 0.2492 0.0024
Tb1 Tb 0.2211 0.9996 0.6648
Tb2 Tb 0.2760 0.2468 0.3309
Dy1 Dy 0.0000 0.5000 0.0000
```

The 12 most intense peaks (2θ = 10–90°), in order of falling intensity:
2theta  d_spacing  Rel. int.
30.99  2.886  100
32.68  2.740  58
30.28  2.952  50
32.56  2.750  29
49.20  1.852  26
28.03  3.183  24
58.89  1.568  23
53.16  1.723  22
49.40  1.845  13
59.13  1.562  13
56.31  1.634  12
28.10  3.176  12

---

Entry 2:
Theoretical powder XRD pattern
Compound: CaTb5Pb4
Radiation: Cu Kα X-rays
Structure: DFT lattice parameters and positions (GGA-PBE)
Kinematic intensities with the Lorentz-polarization factor, no thermal factor.

Structure:
```
data_CaTb5Pb4
_space_group_name_H-M_alt 'C 1 2/m 1'
_space_group_IT_number 12
_cell_length_a 17.6897
_cell_length_b 3.6782
_cell_length_c 9.8459
_cell_angle_alpha 90.00
_cell_angle_beta 90.48
_cell_angle_gamma 90.00
loop_
_space_group_symop_operation_xyz
'x,y,z'
'-x,-y,-z'
'-x,y,-z'
'x,-y,z'
'x+1/2,y+1/2,z'
'-x+1/2,-y+1/2,-z'
'-x+1/2,y+1/2,-z'
'x+1/2,-y+1/2,z'
loop_
_atom_site_label
_atom_site_type_symbol
_atom_site_fract_x
_atom_site_fract_y
_atom_site_fract_z
Ca1 Ca 0.0000 0.0000 0.0000
Tb1 Tb 0.0000 0.0000 0.5000
Tb2 Tb 0.1532 0.5000 0.7617
Tb3 Tb 0.1909 0.5000 0.3900
Pb1 Pb 0.0285 0.5000 0.2503
Pb2 Pb 0.1820 0.0000 0.0712
```

The 12 most intense peaks (2θ = 10–90°), in order of falling intensity:
2theta  d_spacing  Rel. int.
30.74  2.909  100
30.03  2.976  42
36.46  2.464  38
30.32  2.948  33
33.88  2.646  26
34.15  2.625  22
39.92  2.258  22
29.10  3.068  20
47.27  1.923  20
63.98  1.455  19
59.10  1.563  17
49.56  1.839  17